Structure and simulated X-ray powder pattern of CaHPd3 (the GGA-PBE geometry in Alexandria; a wavelength of 1.5418 Å).

Structure:
a b c (Å): 5.9365 5.9365 5.9365
angles (deg): 60.02 60.02 60.02
Fractional positions:
Ca (0.2487, 0.2487, 0.2487)
Ca (0.7513, 0.7513, 0.7513)
H (0.0798, 0.0798, 0.0798)
H (0.9202, 0.9202, 0.9202)
Pd (0.2577, 0.2577, 0.7366)
Pd (0.2577, 0.7366, 0.2577)
Pd (0.2634, 0.7423, 0.7423)
Pd (0.7366, 0.2577, 0.2577)
Pd (0.7423, 0.2634, 0.7423)
Pd (0.7423, 0.7423, 0.2634)

Principal peaks in the range 10 to 80 degrees two-theta, in order of rising 2θ:
2θ = 21.16°, intensity 11
2θ = 37.09°, intensity 100
2θ = 43.09°, intensity 48
2θ = 62.58°, intensity 31
2θ = 75.04°, intensity 35
2θ = 79.00°, intensity 10

=====

Structure and simulated X-ray powder pattern of Sr2Li2Ac3Hg4 (the GGA-PBE geometry in Alexandria; a wavelength of 1.5418 Å).

Structure:
a b c (Å): 5.1610 5.1610 15.9640
angles (deg): 90.00 90.00 120.00
Fractional positions:
Sr (0.3333, 0.6667, 0.0840)
Sr (0.6667, 0.3333, 0.9160)
Li (0.3333, 0.6667, 0.6237)
Li (0.6667, 0.3333, 0.3763)
Ac (0.0000, 0.0000, 0.2663)
Ac (0.0000, 0.0000, 0.5000)
Ac (0.0000, 0.0000, 0.7337)
Hg (0.3333, 0.6667, 0.3826)
Hg (0.3333, 0.6667, 0.8307)
Hg (0.6667, 0.3333, 0.1693)
Hg (0.6667, 0.3333, 0.6174)

Principal peaks in the range 10 to 80 degrees two-theta, in order of rising 2θ:
2θ = 22.80°, intensity 50
2θ = 30.02°, intensity 100
2θ = 34.52°, intensity 30
2θ = 34.77°, intensity 87
2θ = 46.58°, intensity 31
2θ = 59.41°, intensity 30

=====

Structure and simulated X-ray powder pattern of ScFe2Ru (the GGA-PBE geometry in Alexandria; a wavelength of 1.5418 Å).

Structure:
a b c (Å): 3.0653 3.0653 6.1068
angles (deg): 90.00 90.00 90.00
Fractional positions:
Sc (0.0000, 0.0000, 0.0000)
Fe (0.0000, 0.0000, 0.4861)
Fe (0.5000, 0.5000, 0.2781)
Ru (0.5000, 0.5000, 0.7145)

Principal peaks in the range 10 to 80 degrees two-theta, in order of rising 2θ:
2θ = 14.50°, intensity 13
2θ = 41.72°, intensity 100
2θ = 54.08°, intensity 5
2θ = 60.40°, intensity 11
2θ = 76.11°, intensity 20
2θ = 76.29°, intensity 7

=====

Structure and simulated X-ray powder pattern of CaHoTi2O6 (the GGA-PBE geometry in Alexandria; a wavelength of 1.5418 Å).

Structure:
a b c (Å): 7.6988 5.5792 5.3605
angles (deg): 90.00 90.00 90.00
Fractional positions:
Ca (0.0000, 0.1974, 0.0000)
Ca (0.5000, 0.8026, 0.5000)
Ho (0.0000, 0.6848, 0.5285)
Ho (0.5000, 0.3152, 0.0285)
Ti (0.2498, 0.2465, 0.5117)
Ti (0.2502, 0.7535, 0.0117)
Ti (0.7502, 0.2465, 0.5117)
Ti (0.7498, 0.7535, 0.0117)
O (0.0000, 0.2829, 0.4251)
O (0.0000, 0.7790, 0.1199)
O (0.1964, 0.9453, 0.7030)
O (0.2015, 0.4600, 0.8046)
O (0.2985, 0.5400, 0.3046)
O (0.3036, 0.0547, 0.2030)
O (0.5000, 0.2210, 0.6199)
O (0.5000, 0.7171, 0.9251)
O (0.6964, 0.0547, 0.2030)
O (0.7015, 0.5400, 0.3046)
O (0.7985, 0.4600, 0.8046)
O (0.8036, 0.9453, 0.7030)

Principal peaks in the range 10 to 80 degrees two-theta, in order of rising 2θ:
2θ = 19.65°, intensity 33
2θ = 20.19°, intensity 40
2θ = 32.84°, intensity 100
2θ = 33.43°, intensity 25
2θ = 47.02°, intensity 23
2θ = 59.38°, intensity 24